# 1
Structure and simulated X-ray diffraction stick pattern of RbNpS2O (DFT lattice parameters and positions (PBE); λ = 1.5418 Å (Cu Kα)).
Neutral-atom scattering factors, no anomalous dispersion.

Most intense lines, 15° ≤ 2θ ≤ 90°, low angle first:
20.57 deg, I 49, (1 0 -2); 23.73 deg, I 29, (2 0 0); 24.88 deg, I 53, (1 1 0); 26.54 deg, I 17, (1 0 2); 28.49 deg, I 23, (2 0 1); 30.16 deg, I 100, (0 1 2); 39.99 deg, I 16, (1 0 -4); 40.28 deg, I 20, (2 1 -3); 42.37 deg, I 17, (2 1 2); 44.49 deg, I 16, (0 2 0)

Cell and atoms:
```
data_RbNpS2O
_chemical_formula_sum 'Rb2 Np2 S4 O2'
_cell_length_a 7.818
_cell_length_b 4.073
_cell_length_c 9.018
_cell_angle_alpha 90.00
_cell_angle_beta 106.40
_cell_angle_gamma 90.00
_symmetry_space_group_name_H-M 'P 1 21/m 1'
_symmetry_Int_Tables_number 11
loop_
_symmetry_equiv_pos_as_xyz
'x,y,z'
'-x,-y,-z'
'-x,y+1/2,-z'
'x,-y+1/2,z'
loop_
_atom_site_label
_atom_site_type_symbol
_atom_site_fract_x
_atom_site_fract_y
_atom_site_fract_z
Rb1 Rb 0.195 0.250 0.316
Np1 Np 0.320 0.250 0.830
S1 S 0.328 0.750 0.038
S2 S 0.344 0.750 0.648
O1 O 0.072 0.250 0.769
```

# 2
Structure and simulated X-ray diffraction stick pattern of LiMn2Ni (DFT lattice parameters and positions (PBE); λ = 1.5418 Å (Cu Kα)).
Neutral-atom scattering factors, no anomalous dispersion.

Most intense lines, 15° ≤ 2θ ≤ 90°, low angle first:
21.04 deg, I 22, (0 0 2); 40.14 deg, I 8, (1 1 0); 41.60 deg, I 8, (1 1 1); 42.83 deg, I 29, (0 0 4); 44.09 deg, I 28, (0 2 0); 45.74 deg, I 100, (1 1 2); 52.08 deg, I 12, (1 1 3); 63.15 deg, I 17, (0 2 4); 80.52 deg, I 15, (1 1 6); 82.27 deg, I 15, (1 3 2)

Cell and atoms:
```
data_LiMn2Ni
_chemical_formula_sum 'Li2 Mn4 Ni2'
_cell_length_a 2.683
_cell_length_b 4.108
_cell_length_c 8.446
_cell_angle_alpha 90.00
_cell_angle_beta 90.00
_cell_angle_gamma 90.00
_symmetry_space_group_name_H-M 'C m m 2'
_symmetry_Int_Tables_number 35
loop_
_symmetry_equiv_pos_as_xyz
'x,y,z'
'-x,-y,z'
'-x,y,z'
'x,-y,z'
'x+1/2,y+1/2,z'
'-x+1/2,-y+1/2,z'
'-x+1/2,y+1/2,z'
'x+1/2,-y+1/2,z'
loop_
_atom_site_label
_atom_site_type_symbol
_atom_site_fract_x
_atom_site_fract_y
_atom_site_fract_z
Li1 Li 0.000 0.000 0.000
Mn1 Mn 0.000 0.000 0.494
Mn2 Mn 0.000 0.500 0.728
Ni1 Ni 0.000 0.500 0.251
```

# 3
Structure and simulated X-ray diffraction stick pattern of InI3 (DFT lattice parameters and positions (PBE); λ = 1.5418 Å (Cu Kα)).
Neutral-atom scattering factors, no anomalous dispersion.

Most intense lines, 15° ≤ 2θ ≤ 90°, low angle first:
15.19 deg, I 31, (0 1 1); 23.49 deg, I 100, (1 1 2); 23.61 deg, I 98, (2 1 -2); 26.80 deg, I 36, (3 0 0); 38.26 deg, I 43, (3 2 0); 39.12 deg, I 20, (2 0 4); 39.26 deg, I 42, (1 2 -4); 39.41 deg, I 20, (4 0 -4); 45.35 deg, I 31, (4 1 2); 45.49 deg, I 33, (5 1 -2)

Cell and atoms:
```
data_InI3
_chemical_formula_sum 'In4 I12'
_cell_length_a 10.448
_cell_length_b 6.654
_cell_length_c 12.678
_cell_angle_alpha 90.00
_cell_angle_beta 107.24
_cell_angle_gamma 90.00
_symmetry_space_group_name_H-M 'P 1 21/c 1'
_symmetry_Int_Tables_number 14
loop_
_symmetry_equiv_pos_as_xyz
'x,y,z'
'-x,-y,-z'
'-x,y+1/2,-z+1/2'
'x,-y+1/2,z+1/2'
loop_
_atom_site_label
_atom_site_type_symbol
_atom_site_fract_x
_atom_site_fract_y
_atom_site_fract_z
In1 In 0.199 0.003 0.049
I1 I 0.001 0.724 0.383
I2 I 0.327 0.248 0.447
I3 I 0.329 0.743 0.714
```

Question: Number 1 is which compound?
Answer: RbNpS2O